Entry 1:
Simulated PXRD pattern of CrGaAu2 for Cu Kα (λ = 1.5418 Å), from the GGA-PBE geometry in Alexandria.

Principal peaks in the range 10 to 90 degrees two-theta, by angle:
two_theta  intensity  index
25.94  41  1 0 0
30.46  14  0 0 2
37.01  64  1 1 0
40.43  100  1 0 2
48.66  16  1 1 2
53.33  22  2 0 0
60.24  9  2 1 0
69.00  41  2 1 2
75.73  16  1 1 4
87.42  11  2 0 4

Structural model:
```
data_CrGaAu2
_chemical_formula_sum 'Cr1 Ga1 Au2'
_cell_length_a 3.435
_cell_length_b 3.435
_cell_length_c 5.869
_cell_angle_alpha 90.00
_cell_angle_beta 90.00
_cell_angle_gamma 90.00
_space_group_name_H-M_alt 'P 4/m m m'
_space_group_IT_number 123
_space_group_name_Hall '-P 4 2'
loop_
_atom_site_label
_atom_site_type_symbol
_atom_site_fract_x
_atom_site_fract_y
_atom_site_fract_z
Cr1 Cr 0.000 0.000 0.000
Ga1 Ga 0.000 0.000 0.500
Au1 Au 0.500 0.500 0.248
```

***

Entry 2:
Simulated PXRD pattern of ZrCo2Ru for Cu Kα (λ = 1.5418 Å), from the GGA-PBE geometry in Alexandria.

Principal peaks in the range 10 to 90 degrees two-theta, by angle:
two_theta  intensity  index
28.86  19  0 1 1
37.20  18  0 0 2
39.32  100  1 1 -1
41.76  22  1 0 1
41.90  22  1 0 -2
43.68  51  0 1 2
45.03  37  0 2 0
47.73  16  1 1 1
47.85  16  1 1 -2
79.22  12  1 3 -1

Structural model:
```
data_ZrCo2Ru
_chemical_formula_sum 'Zr1 Co2 Ru1'
_cell_length_a 2.910
_cell_length_b 4.027
_cell_length_c 5.043
_cell_angle_alpha 90.00
_cell_angle_beta 106.59
_cell_angle_gamma 90.00
_space_group_name_H-M_alt 'P 1 m 1'
_space_group_IT_number 6
_space_group_name_Hall 'P -2y'
loop_
_atom_site_label
_atom_site_type_symbol
_atom_site_fract_x
_atom_site_fract_y
_atom_site_fract_z
Zr1 Zr 0.000 0.000 0.000
Co1 Co 0.593 0.500 0.189
Co2 Co 0.732 0.000 0.472
Ru1 Ru 0.308 0.500 0.621
```

***

Entry 3:
Simulated PXRD pattern of LaSm6Tm3 for Cu Kα (λ = 1.5418 Å), from the GGA-PBE geometry in Alexandria.

Principal peaks in the range 10 to 90 degrees two-theta, by angle:
two_theta  intensity  index
28.74  64  2 -1 3
31.35  100  3 0 0
31.65  17  1 0 4
36.62  11  0 2 4
41.07  16  2 1 4
43.05  21  2 2 3
54.21  22  5 -1 3
55.80  20  3 3 0
56.23  12  3 0 6
65.41  12  6 0 0

Structural model:
```
data_LaSm6Tm3
_chemical_formula_sum 'La3 Sm18 Tm9'
_cell_length_a 9.8852
_cell_length_b 9.8852
_cell_length_c 11.9785
_cell_angle_alpha 90.00
_cell_angle_beta 90.00
_cell_angle_gamma 120.00
_space_group_name_H-M_alt 'R 3'
_space_group_IT_number 146
_space_group_name_Hall 'R 3'
loop_
_atom_site_label
_atom_site_type_symbol
_atom_site_fract_x
_atom_site_fract_y
_atom_site_fract_z
La1 La 0.0000 0.0000 0.0000
Sm1 Sm 0.9998 0.3326 0.9999
Sm2 Sm 0.9998 0.6713 0.4997
Tm1 Tm 0.0000 0.0000 0.2554
Tm2 Tm 0.0000 0.0000 0.5004
Tm3 Tm 0.0000 0.0000 0.7455
```

***

Entry 4:
Simulated PXRD pattern of Tb2Sm8Er for Cu Kα (λ = 1.5418 Å), from the GGA-PBE geometry in Alexandria.

Principal peaks in the range 10 to 90 degrees two-theta, by angle:
two_theta  intensity  index
31.22  100  0 4 1
31.49  84  3 1 1
32.82  88  0 0 2
42.68  15  3 5 0
47.10  32  3 3 2
54.85  15  3 5 2
57.46  19  3 7 1
57.57  19  0 4 3
57.73  15  3 1 3
63.14  27  6 4 1

Structural model:
```
data_Tb2Sm8Er
_chemical_formula_sum 'Tb4 Sm16 Er2'
_cell_length_a 10.300
_cell_length_b 13.460
_cell_length_c 5.461
_cell_angle_alpha 90.00
_cell_angle_beta 90.00
_cell_angle_gamma 90.00
_space_group_name_H-M_alt 'C m m m'
_space_group_IT_number 65
_space_group_name_Hall '-C 2 2'
loop_
_atom_site_label
_atom_site_type_symbol
_atom_site_fract_x
_atom_site_fract_y
_atom_site_fract_z
Tb1 Tb 0.000 0.119 0.000
Sm1 Sm 0.000 0.248 0.500
Sm2 Sm 0.164 0.366 0.000
Sm3 Sm 0.166 0.000 0.500
Er1 Er 0.000 0.500 0.500
```

***

Entry 5:
Simulated PXRD pattern of Pm5Pr3Er4 for Cu Kα (λ = 1.5418 Å), from the GGA-PBE geometry in Alexandria.

Principal peaks in the range 10 to 90 degrees two-theta, by angle:
two_theta  intensity  index
30.26  100  2 0 1
35.08  51  1 2 2
50.46  36  3 2 0
59.95  32  3 2 3
60.06  11  2 4 1
62.93  9  4 0 2
82.08  10  5 2 1
82.20  7  1 6 -1
84.68  8  5 2 -2
84.78  5  4 4 2

Structural model:
```
data_Pm5Pr3Er4
_chemical_formula_sum 'Pm5 Pr3 Er4'
_cell_length_a 6.272
_cell_length_b 7.228
_cell_length_c 8.859
_cell_angle_alpha 90.11
_cell_angle_beta 90.01
_cell_angle_gamma 90.03
_space_group_name_H-M_alt 'P -1'
_space_group_IT_number 2
_space_group_name_Hall '-P 1'
loop_
_atom_site_label
_atom_site_type_symbol
_atom_site_fract_x
_atom_site_fract_y
_atom_site_fract_z
Pm1 Pm 0.000 0.000 0.000
Pm2 Pm 0.334 0.500 0.335
Pm3 Pm 0.498 0.753 0.999
Pr1 Pr 0.000 0.500 0.000
Pr2 Pr 0.166 0.248 0.664
Er1 Er 0.168 0.753 0.665
Er2 Er 0.335 0.000 0.335
```

***

Entry 6:
Simulated PXRD pattern of PmTm7Tl5 for Cu Kα (λ = 1.5418 Å), from the GGA-PBE geometry in Alexandria.

Principal peaks in the range 10 to 90 degrees two-theta, by angle:
two_theta  intensity  index
28.29  22  1 3 0
32.33  46  2 2 0
32.45  38  2 0 2
32.98  85  0 4 0
33.11  31  1 2 3
33.49  39  0 0 4
36.53  100  2 2 2
37.14  31  0 4 2
37.32  19  1 1 4
58.52  22  2 6 0

Structural model:
```
data_PmTm7Tl5
_chemical_formula_sum 'Pm2 Tm14 Tl10'
_cell_length_a 6.440
_cell_length_b 10.856
_cell_length_c 10.702
_cell_angle_alpha 90.00
_cell_angle_beta 90.00
_cell_angle_gamma 90.00
_space_group_name_H-M_alt 'I m m 2'
_space_group_IT_number 44
_space_group_name_Hall 'I 2 -2'
loop_
_atom_site_label
_atom_site_type_symbol
_atom_site_fract_x
_atom_site_fract_y
_atom_site_fract_z
Pm1 Pm 0.000 0.000 0.000
Tm1 Tm 0.000 0.000 0.349
Tm2 Tm 0.000 0.000 0.659
Tm3 Tm 0.000 0.299 0.477
Tm4 Tm 0.000 0.344 0.992
Tm5 Tm 0.000 0.500 0.716
Tl1 Tl 0.000 0.500 0.259
Tl2 Tl 0.249 0.261 0.732
```

***

Entry 7:
Simulated PXRD pattern of CuS2O6F2 for Cu Kα (λ = 1.5418 Å), from the GGA-PBE geometry in Alexandria.

Principal peaks in the range 10 to 90 degrees two-theta, by angle:
two_theta  intensity  index
12.41  47  0 0 1
23.98  100  1 0 1
32.48  24  1 0 2
35.79  20  1 1 0
38.02  9  2 -1 1
43.38  13  0 1 3
43.54  9  0 2 1
44.13  9  2 -1 2
57.58  12  2 1 1
64.31  9  3 0 0

Structural model:
```
data_CuS2O6F2
_chemical_formula_sum 'Cu1 S2 O6 F2'
_cell_length_a 5.0180
_cell_length_b 5.0180
_cell_length_c 7.1322
_cell_angle_alpha 90.00
_cell_angle_beta 90.00
_cell_angle_gamma 120.00
_space_group_name_H-M_alt 'P -3'
_space_group_IT_number 147
_space_group_name_Hall '-P 3'
loop_
_atom_site_label
_atom_site_type_symbol
_atom_site_fract_x
_atom_site_fract_y
_atom_site_fract_z
Cu1 Cu 0.0000 0.0000 0.0000
S1 S 0.3333 0.6667 0.7806
O1 O 0.0690 0.7001 0.8279
F1 F 0.3333 0.6667 0.5583
```

***

Entry 8:
Simulated PXRD pattern of CeTa2CoN4 for Cu Kα (λ = 1.5418 Å), from the GGA-PBE geometry in Alexandria.

Principal peaks in the range 10 to 90 degrees two-theta, by angle:
two_theta  intensity  index
29.92  70  0 2 3
33.76  100  0 4 0
38.68  15  1 1 3
38.97  23  1 3 1
41.67  50  1 3 2
51.79  20  1 1 5
54.65  15  1 5 2
57.71  17  1 3 5
58.03  27  2 0 0
66.67  15  2 2 3

Structural model:
```
data_CeTa2CoN4
_chemical_formula_sum 'Ce4 Ta8 Co4 N16'
_cell_length_a 3.178
_cell_length_b 10.625
_cell_length_c 10.831
_cell_angle_alpha 90.00
_cell_angle_beta 90.00
_cell_angle_gamma 90.00
_space_group_name_H-M_alt 'C m c m'
_space_group_IT_number 63
_space_group_name_Hall '-C 2c 2'
loop_
_atom_site_label
_atom_site_type_symbol
_atom_site_fract_x
_atom_site_fract_y
_atom_site_fract_z
Ce1 Ce 0.000 0.109 0.250
Ta1 Ta 0.000 0.368 0.059
Co1 Co 0.000 0.161 0.750
N1 N 0.000 0.000 0.000
N2 N 0.000 0.271 0.610
N3 N 0.000 0.447 0.250
```

***

Entry 9:
Simulated PXRD pattern of MgAgRh2 for Cu Kα (λ = 1.5418 Å), from the GGA-PBE geometry in Alexandria.

Principal peaks in the range 10 to 90 degrees two-theta, by angle:
two_theta  intensity  index
15.45  17  0 0 1
31.17  8  0 0 2
39.19  100  1 1 0
44.57  17  1 0 -2
44.72  17  1 0 2
47.36  15  0 2 0
67.06  10  1 2 -2
67.17  10  1 2 2
78.58  11  2 1 2
82.54  11  1 3 0

Structural model:
```
data_MgAgRh2
_chemical_formula_sum 'Mg1 Ag1 Rh2'
_cell_length_a 2.874
_cell_length_b 3.839
_cell_length_c 5.733
_cell_angle_alpha 90.00
_cell_angle_beta 90.19
_cell_angle_gamma 90.00
_space_group_name_H-M_alt 'P 1 m 1'
_space_group_IT_number 6
_space_group_name_Hall 'P -2y'
loop_
_atom_site_label
_atom_site_type_symbol
_atom_site_fract_x
_atom_site_fract_y
_atom_site_fract_z
Mg1 Mg 0.000 0.000 0.000
Ag1 Ag 0.500 0.500 0.747
Rh1 Rh 0.001 0.000 0.466
Rh2 Rh 0.499 0.500 0.261
```

***

Entry 10:
Simulated PXRD pattern of Tl2Pd2O7 for Cu Kα (λ = 1.5418 Å), from the GGA-PBE geometry in Alexandria.

Principal peaks in the range 10 to 90 degrees two-theta, by angle:
two_theta  intensity  index
14.91  9  1 1 1
30.08  100  2 2 2
34.87  35  4 0 0
38.11  7  3 3 1
50.14  46  4 4 0
59.58  44  6 2 2
62.52  10  4 4 4
73.63  7  8 0 0
81.53  18  6 6 2
84.13  15  8 4 0

Structural model:
Unit cell a=10.292 b=10.292 c=10.292 alpha=90.00 beta=90.00 gamma=90.00
Space group Fd-3m (No. 227, origin choice 2)
Unique sites:
Tl (0.000, 0.000, 0.000) (multiplicity 16)
Pd (0.000, 0.000, 0.500) (multiplicity 16)
O (0.085, 0.375, 0.875) (multiplicity 48)
O (0.125, 0.125, 0.125) (multiplicity 8)

***

Entry 11:
Simulated PXRD pattern of PaFe6C3 for Cu Kα (λ = 1.5418 Å), from the GGA-PBE geometry in Alexandria.

Principal peaks in the range 10 to 90 degrees two-theta, by angle:
two_theta  intensity  index
18.92  32  0 0 3
21.18  37  1 0 1
23.88  49  0 1 2
32.60  59  1 0 4
37.96  46  0 1 5
40.42  69  2 -1 3
41.61  100  0 2 1
43.14  43  2 0 2
53.18  40  1 1 6
65.23  19  3 -2 5

Structural model:
```
data_PaFe6C3
_chemical_formula_sum 'Pa3 Fe18 C9'
_cell_length_a 5.0731
_cell_length_b 5.0731
_cell_length_c 14.0745
_cell_angle_alpha 90.00
_cell_angle_beta 90.00
_cell_angle_gamma 120.00
_space_group_name_H-M_alt 'R 3'
_space_group_IT_number 146
_space_group_name_Hall 'R 3'
loop_
_atom_site_label
_atom_site_type_symbol
_atom_site_fract_x
_atom_site_fract_y
_atom_site_fract_z
Pa1 Pa 0.0000 0.0000 0.0000
Fe1 Fe 0.0014 0.5065 0.9397
Fe2 Fe 0.0027 0.4390 0.1276
C1 C 0.0000 0.0000 0.1749
C2 C 0.0000 0.0000 0.3693
C3 C 0.0000 0.0000 0.7038
```

***

Entry 12:
Simulated PXRD pattern of YCuCl5 for Cu Kα (λ = 1.5418 Å), from the GGA-PBE geometry in Alexandria.

Principal peaks in the range 10 to 90 degrees two-theta, by angle:
two_theta  intensity  index
13.34  100  0 2 0
24.23  53  2 0 0
27.75  32  2 2 0
28.14  19  2 2 -1
34.27  39  1 3 2
39.49  16  1 3 -3
44.05  16  1 5 2
45.62  14  3 3 1
47.67  16  2 0 -4
48.25  10  2 6 -1

Structural model:
```
data_YCuCl5
_chemical_formula_sum 'Y4 Cu4 Cl20'
_cell_length_a 7.489
_cell_length_b 13.273
_cell_length_c 8.110
_cell_angle_alpha 90.00
_cell_angle_beta 101.04
_cell_angle_gamma 90.00
_space_group_name_H-M_alt 'C 1 2/c 1'
_space_group_IT_number 15
_space_group_name_Hall '-C 2yc'
loop_
_atom_site_label
_atom_site_type_symbol
_atom_site_fract_x
_atom_site_fract_y
_atom_site_fract_z
Y1 Y 0.000 0.039 0.250
Cu1 Cu 0.000 0.500 0.000
Cl1 Cl 0.000 0.418 0.250
Cl2 Cl 0.099 0.111 0.966
Cl3 Cl 0.183 0.373 0.628
```

***

Entry 13:
Simulated PXRD pattern of CaTb2PaP4 for Cu Kα (λ = 1.5418 Å), from the GGA-PBE geometry in Alexandria.

Principal peaks in the range 10 to 90 degrees two-theta, by angle:
two_theta  intensity  index
17.41  20  1 0 1
27.13  81  1 1 2
31.43  100  2 0 0
45.04  73  2 2 0
53.37  40  1 1 6
55.95  25  2 2 4
72.35  16  3 1 6
74.54  33  4 2 0
83.11  25  4 2 4
89.43  13  1 1 10

Structural model:
```
data_CaTb2PaP4
_chemical_formula_sum 'Ca2 Tb4 Pa2 P8'
_cell_length_a 5.694
_cell_length_b 5.694
_cell_length_c 11.385
_cell_angle_alpha 90.00
_cell_angle_beta 90.00
_cell_angle_gamma 90.00
_space_group_name_H-M_alt 'I -4 m 2'
_space_group_IT_number 119
_space_group_name_Hall 'I -4 -2'
loop_
_atom_site_label
_atom_site_type_symbol
_atom_site_fract_x
_atom_site_fract_y
_atom_site_fract_z
Ca1 Ca 0.000 0.000 0.000
Tb1 Tb 0.000 0.000 0.500
Tb2 Tb 0.000 0.500 0.250
Pa1 Pa 0.000 0.500 0.750
P1 P 0.000 0.000 0.254
P2 P 0.000 0.500 0.509
```

***

Entry 14:
Simulated PXRD pattern of BeGe2PPb for Cu Kα (λ = 1.5418 Å), from the GGA-PBE geometry in Alexandria.

Principal peaks in the range 10 to 90 degrees two-theta, by angle:
two_theta  intensity  index
18.83  81  1 0 0
24.64  44  1 0 1
31.19  100  1 1 1
31.80  34  0 0 2
37.22  30  1 0 2
38.20  41  2 0 0
42.91  20  2 1 0
50.52  37  2 0 2
54.39  20  2 1 2
64.71  25  3 1 1

Structural model:
```
data_BeGe2PPb
_chemical_formula_sum 'Be1 Ge2 P1 Pb1'
_cell_length_a 4.712
_cell_length_b 4.712
_cell_length_c 5.628
_cell_angle_alpha 90.00
_cell_angle_beta 90.00
_cell_angle_gamma 90.00
_space_group_name_H-M_alt 'P 4/m m m'
_space_group_IT_number 123
_space_group_name_Hall '-P 4 2'
loop_
_atom_site_label
_atom_site_type_symbol
_atom_site_fract_x
_atom_site_fract_y
_atom_site_fract_z
Be1 Be 0.000 0.000 0.000
Ge1 Ge 0.000 0.500 0.500
P1 P 0.500 0.500 0.500
Pb1 Pb 0.500 0.500 0.000
```